(1)
Mn5H4: theoretical X-ray powder pattern (Cu Kα, 1.54184 Å), based on the GGA-PBE geometry in Alexandria.

Most intense lines, 5° ≤ 2θ ≤ 70°, sorted by position:
- 2θ 15.00, rel. 3
- 2θ 20.01, rel. 2
- 2θ 33.18, rel. 3
- 2θ 39.67, rel. 56
- 2θ 40.70, rel. 48
- 2θ 41.06, rel. 100
- 2θ 46.89, rel. 28
- 2θ 47.45, rel. 62
- 2θ 48.82, rel. 3
- 2θ 56.45, rel. 2
- 2θ 68.18, rel. 27
- 2θ 69.64, rel. 14

Structural model:
a = 4.709 Å, b = 4.709 Å, c = 6.816 Å
α = 118.60°, β = 118.60°, γ = 32.93°
Sites, in units of the cell vectors:
Mn  0.000  0.000  0.000
Mn  0.226  0.226  0.825
Mn  0.392  0.392  0.606
Mn  0.608  0.608  0.394
Mn  0.774  0.774  0.175
H  0.012  0.012  0.757
H  0.390  0.390  0.349
H  0.610  0.610  0.651
H  0.988  0.988  0.243



(2)
Ac6GePt5: theoretical X-ray powder pattern (Cu Kα, 1.54184 Å), based on the GGA-PBE geometry in Alexandria.

Most intense lines, 5° ≤ 2θ ≤ 70°, sorted by position:
- 2θ 12.25, rel. 1
- 2θ 13.93, rel. 1
- 2θ 24.62, rel. 2
- 2θ 28.49, rel. 100
- 2θ 40.73, rel. 78
- 2θ 50.43, rel. 21
- 2θ 50.51, rel. 7
- 2θ 58.87, rel. 4
- 2θ 59.01, rel. 9
- 2θ 66.63, rel. 6
- 2θ 66.78, rel. 24
- 2θ 66.84, rel. 6

Structural model:
a = 7.673 Å, b = 7.673 Å, c = 7.672 Å
α = 99.67°, β = 99.67°, γ = 119.86°
Sites, in units of the cell vectors:
Ac  0.073  0.414  0.745
Ac  0.243  0.243  0.254
Ac  0.414  0.073  0.745
Ac  0.586  0.927  0.255
Ac  0.757  0.757  0.746
Ac  0.927  0.586  0.255
Ge  0.500  0.500  0.000
Pt  0.000  0.000  0.500
Pt  0.167  0.833  0.000
Pt  0.336  0.664  0.500
Pt  0.664  0.336  0.500
Pt  0.833  0.167  0.000



(3)
BiIrS2: theoretical X-ray powder pattern (Cu Kα, 1.54184 Å), based on the GGA-PBE geometry in Alexandria.

Most intense lines, 5° ≤ 2θ ≤ 70°, sorted by position:
- 2θ 15.75, rel. 10
- 2θ 25.87, rel. 100
- 2θ 27.24, rel. 11
- 2θ 27.54, rel. 31
- 2θ 29.52, rel. 43
- 2θ 32.32, rel. 13
- 2θ 34.89, rel. 10
- 2θ 36.80, rel. 12
- 2θ 44.56, rel. 12
- 2θ 46.58, rel. 24
- 2θ 49.87, rel. 12
- 2θ 57.94, rel. 11

Structural model:
a = 4.959 Å, b = 6.477 Å, c = 6.695 Å
α = 61.25°, β = 77.18°, γ = 89.96°
Sites, in units of the cell vectors:
Bi  0.249  0.195  0.110
Bi  0.751  0.805  0.890
Ir  0.000  0.500  0.500
Ir  0.500  0.000  0.500
S  0.180  0.151  0.700
S  0.182  0.650  0.700
S  0.818  0.350  0.300
S  0.820  0.849  0.300



(4)
NdCu4P2: theoretical X-ray powder pattern (Cu Kα, 1.54184 Å), based on the GGA-PBE geometry in Alexandria.

Most intense lines, 5° ≤ 2θ ≤ 70°, sorted by position:
- 2θ 24.32, rel. 21
- 2θ 29.36, rel. 20
- 2θ 33.66, rel. 25
- 2θ 34.58, rel. 70
- 2θ 34.81, rel. 41
- 2θ 35.82, rel. 87
- 2θ 38.43, rel. 100
- 2θ 39.27, rel. 21
- 2θ 41.89, rel. 30
- 2θ 43.89, rel. 28
- 2θ 45.95, rel. 21
- 2θ 46.82, rel. 63

Structural model:
a = 11.009 Å, b = 14.702 Å, c = 3.881 Å
α = 90.00°, β = 90.00°, γ = 90.00°
Sites, in units of the cell vectors:
Nd  0.000  0.000  0.000
Nd  0.122  0.273  0.000
Nd  0.378  0.773  0.500
Nd  0.500  0.500  0.500
Nd  0.622  0.227  0.500
Nd  0.878  0.727  0.000
Cu  0.068  0.564  0.000
Cu  0.074  0.832  0.500
Cu  0.100  0.446  0.500
Cu  0.171  0.716  0.000
Cu  0.235  0.965  0.500
Cu  0.241  0.589  0.500
Cu  0.259  0.089  0.000
Cu  0.265  0.465  0.000
Cu  0.329  0.216  0.500
Cu  0.400  0.946  0.000
Cu  0.426  0.332  0.000
Cu  0.432  0.064  0.500
Cu  0.568  0.936  0.500
Cu  0.574  0.668  0.000
Cu  0.600  0.054  0.000
Cu  0.671  0.784  0.500
Cu  0.735  0.535  0.000
Cu  0.741  0.911  0.000
Cu  0.759  0.411  0.500
Cu  0.765  0.035  0.500
Cu  0.829  0.284  0.000
Cu  0.900  0.554  0.500
Cu  0.926  0.168  0.500
Cu  0.932  0.436  0.000
P  0.058  0.666  0.500
P  0.135  0.114  0.500
P  0.206  0.871  0.000
P  0.294  0.371  0.500
P  0.365  0.614  0.000
P  0.442  0.166  0.000
P  0.558  0.834  0.000
P  0.635  0.386  0.000
P  0.706  0.629  0.500
P  0.794  0.129  0.000
P  0.865  0.886  0.500
P  0.942  0.334  0.500



(5)
Ge2IrSe: theoretical X-ray powder pattern (Cu Kα, 1.54184 Å), based on the GGA-PBE geometry in Alexandria.

Most intense lines, 5° ≤ 2θ ≤ 70°, sorted by position:
- 2θ 16.72, rel. 42
- 2θ 17.49, rel. 49
- 2θ 18.37, rel. 74
- 2θ 27.92, rel. 100
- 2θ 28.85, rel. 44
- 2θ 33.63, rel. 32
- 2θ 34.81, rel. 43
- 2θ 37.36, rel. 51
- 2θ 37.60, rel. 33
- 2θ 44.64, rel. 41
- 2θ 45.93, rel. 35
- 2θ 46.52, rel. 54

Structural model:
a = 5.629 Å, b = 5.427 Å, c = 11.772 Å
α = 90.00°, β = 115.76°, γ = 90.00°
Sites, in units of the cell vectors:
Ge  0.018  0.229  0.468
Ge  0.018  0.271  0.968
Ge  0.353  0.667  0.926
Ge  0.353  0.833  0.426
Ge  0.647  0.167  0.574
Ge  0.647  0.333  0.074
Ge  0.982  0.729  0.032
Ge  0.982  0.771  0.532
Ir  0.386  0.508  0.594
Ir  0.386  0.992  0.094
Ir  0.614  0.008  0.906
Ir  0.614  0.492  0.406
Se  0.270  0.198  0.254
Se  0.270  0.302  0.754
Se  0.730  0.698  0.246
Se  0.730  0.802  0.746



(6)
Li6LaTl4: theoretical X-ray powder pattern (Cu Kα, 1.54184 Å), based on the GGA-PBE geometry in Alexandria.

Most intense lines, 5° ≤ 2θ ≤ 70°, sorted by position:
- 2θ 23.34, rel. 100
- 2θ 26.44, rel. 95
- 2θ 30.02, rel. 74
- 2θ 32.89, rel. 46
- 2θ 35.22, rel. 30
- 2θ 38.99, rel. 25
- 2θ 40.43, rel. 34
- 2θ 44.85, rel. 52
- 2θ 46.67, rel. 27
- 2θ 47.73, rel. 39
- 2θ 62.39, rel. 23
- 2θ 63.42, rel. 31

Structural model:
a = 7.784 Å, b = 7.784 Å, c = 4.620 Å
α = 90.00°, β = 90.00°, γ = 120.00°
Sites, in units of the cell vectors:
Li  0.204  0.409  0.000
Li  0.204  0.796  0.000
Li  0.245  0.122  0.500
Li  0.591  0.796  0.000
Li  0.878  0.122  0.500
Li  0.878  0.755  0.500
La  0.667  0.333  0.000
Tl  0.000  0.000  0.000
Tl  0.056  0.528  0.500
Tl  0.472  0.528  0.500
Tl  0.472  0.944  0.500